For NaPrDyMnO6, a DFT-relaxed cell (PBE+U, Alexandria) gives the theoretical powder XRD pattern in this record (copper Kα).
Intensities are scaled so that the largest is 100.

Structure:
```
data_NaPrDyMnO6
_chemical_formula_sum 'Na4 Pr4 Dy4 Mn4 O24'
_cell_length_a 8.1136
_cell_length_b 8.1136
_cell_length_c 8.1136
_cell_angle_alpha 90.00
_cell_angle_beta 90.00
_cell_angle_gamma 90.00
_symmetry_space_group_name_H-M 'F -4 3 m'
_symmetry_Int_Tables_number 216
_symmetry_space_group_name_Hall 'F -4 2 3'
loop_
_atom_site_label
_atom_site_fract_x
_atom_site_fract_y
_atom_site_fract_z
Na1 0.0000 0.0000 0.0000
Pr1 0.0000 0.0000 0.5000
Dy1 0.2500 0.2500 0.7500
Mn1 0.2500 0.2500 0.2500
O1 0.0176 0.2500 0.2500
```

Top 10 peaks for 2θ from 10° to 90°, by angle:
18.94 deg, d 4.684, rel. 40, (1 1 1)
31.18 deg, d 2.869, rel. 100, (2 2 0)
36.74 deg, d 2.446, rel. 27, (3 1 1)
44.67 deg, d 2.028, rel. 33, (4 0 0)
48.93 deg, d 1.861, rel. 13, (3 3 1)
55.48 deg, d 1.656, rel. 39, (4 2 2)
59.17 deg, d 1.561, rel. 9, (3 3 3)
65.03 deg, d 1.434, rel. 20, (4 4 0)
68.40 deg, d 1.371, rel. 8, (5 3 1)
73.87 deg, d 1.283, rel. 17, (6 2 0)